Record 1
Theoretical powder X-ray diffraction pattern
Compound: Ba12Na15Li8N6
Radiation: a wavelength of 1.5418 Å
Structure: DFT lattice parameters and positions (GGA-PBE)

Top 12 peaks for 2θ = 15–90°, low angle first:
hkl	d [Å]	two_theta	I (rel.)
0 0 6	5.496	16.13	376
3 0 0	3.575	24.91	244
0 2 7	3.539	25.16	364
0 3 3	3.400	26.21	1000
1 0 10	3.152	28.31	186
2 1 7	3.073	29.06	253
3 0 6	2.997	29.81	193
0 3 9	2.559	35.07	273
3 3 0	2.064	43.87	207
3 2 10	1.972	46.02	176
3 3 6	1.931	47.05	267
6 0 3	1.764	51.81	163

Crystal structure
Lattice parameters (Å, degrees): 12.3835 12.3835 32.9782 90.00 90.00 120.00
Space group R-3m (No. 166, hexagonal axes)
Unique sites:
1 Ba 0.0899 0.5450 0.2715 [18 per cell]
2 Ba 0.1053 0.5527 0.5725 [18 per cell]
3 Na 0.0000 0.0000 0.2020 [6 per cell]
4 Na 0.0000 0.0000 0.5000 [3 per cell]
5 Na 0.0011 0.5006 0.8541 [18 per cell]
6 Na 0.1043 0.2085 0.2933 [18 per cell]
7 Li 0.0000 0.0000 0.0385 [6 per cell]
8 Li 0.0000 0.2029 0.0000 [18 per cell]
9 N 0.0968 0.1935 0.0488 [18 per cell]

***

Record 2
Theoretical powder X-ray diffraction pattern
Compound: CeAgAs2
Radiation: a wavelength of 1.5418 Å
Structure: DFT lattice parameters and positions (GGA-PBE)

Top 12 peaks for 2θ = 15–90°, low angle first:
hkl	d [Å]	two_theta	I (rel.)
1 0 1	3.805	23.38	88
1 0 2	3.196	27.92	145
1 0 3	2.617	34.27	61
0 0 4	2.548	35.22	160
1 1 2	2.521	35.61	1000
1 0 4	2.165	41.73	131
2 0 0	2.051	44.16	318
2 0 4	1.598	57.70	149
2 1 4	1.489	62.37	79
2 2 0	1.450	64.22	101
2 2 4	1.260	75.41	67
3 1 2	1.257	75.65	214

Crystal structure
Lattice parameters (Å, degrees): 4.102 4.102 10.193 90.00 90.00 90.00
Space group P4/nmm (No. 129, origin choice 2)
Unique sites:
1 Ce 0.250 0.250 0.221 [2 per cell]
2 Ag 0.250 0.750 0.500 [2 per cell]
3 As 0.250 0.250 0.688 [2 per cell]
4 As 0.250 0.750 0.000 [2 per cell]

***

Record 3
Theoretical powder X-ray diffraction pattern
Compound: Tm2Co17
Radiation: a wavelength of 1.5418 Å
Structure: DFT lattice parameters and positions (GGA-PBE)

Top 12 peaks for 2θ = 15–90°, low angle first:
hkl	d [Å]	two_theta	I (rel.)
1 1 2	2.885	30.99	440
3 0 0	2.387	37.69	415
2 0 3	2.149	42.05	436
2 2 0	2.067	43.80	636
3 0 2	2.053	44.10	1000
0 0 4	2.015	44.99	304
2 1 3	1.907	47.70	152
2 2 2	1.839	49.57	157
4 1 2	1.457	63.91	182
2 2 4	1.443	64.60	164
6 0 0	1.193	80.49	160
3 0 6	1.171	82.38	175

Crystal structure
Lattice parameters (Å, degrees): 8.2671 8.2671 8.0595 90.00 90.00 120.00
Space group P6_3/mmc (No. 194)
Unique sites:
1 Tm 0.0000 0.0000 0.2500 [2 per cell]
2 Tm 0.3333 0.6667 0.2500 [2 per cell]
3 Co 0.0000 0.5000 0.0000 [6 per cell]
4 Co 0.0469 0.3743 0.7500 [12 per cell]
5 Co 0.1665 0.3330 0.0249 [12 per cell]
6 Co 0.3333 0.6667 0.6063 [4 per cell]

***

Record 4
Theoretical powder X-ray diffraction pattern
Compound: MgCo4Ni2S8
Radiation: a wavelength of 1.5418 Å
Structure: DFT lattice parameters and positions (GGA-PBE)

Top 12 peaks for 2θ = 15–90°, low angle first:
hkl	d [Å]	two_theta	I (rel.)
1 0 1	5.704	15.54	214
2 0 0	3.493	25.50	655
1 2 1	2.979	30.00	1000
0 0 4	2.470	36.38	481
3 1 0	2.209	40.85	105
3 1 2	2.017	44.95	233
3 2 1	1.901	47.84	545
0 4 0	1.750	52.29	185
2 2 4	1.746	52.41	906
4 2 4	1.319	71.50	108
5 0 3	1.285	73.71	110
4 4 0	1.236	77.21	92

Crystal structure
Lattice parameters (Å, degrees): 6.979 6.999 9.870 90.00 90.00 90.00
Space group Imm2 (No. 44)
Unique sites:
1 Mg 0.000 0.000 0.000 [2 per cell]
2 Co 0.000 0.282 0.143 [4 per cell]
3 Co 0.215 0.500 0.360 [4 per cell]
4 Ni 0.000 0.000 0.502 [2 per cell]
5 Ni 0.000 0.500 0.751 [2 per cell]
6 S 0.000 0.257 0.874 [4 per cell]
7 S 0.000 0.267 0.368 [4 per cell]
8 S 0.231 0.500 0.136 [4 per cell]
9 S 0.245 0.500 0.629 [4 per cell]

***

Record 5
Theoretical powder X-ray diffraction pattern
Compound: KAuC2S2N2
Radiation: a wavelength of 1.5418 Å
Structure: DFT lattice parameters and positions (GGA-PBE)

Top 12 peaks for 2θ = 15–90°, low angle first:
hkl	d [Å]	two_theta	I (rel.)
2 0 2	4.357	20.38	751
2 0 -4	4.267	20.82	882
0 0 4	4.232	20.99	628
4 0 -2	3.341	26.68	497
4 0 0	3.130	28.52	680
0 2 1	3.001	29.77	1000
0 2 2	2.871	31.15	461
0 0 6	2.822	31.71	538
2 2 0	2.742	32.66	552
0 2 3	2.685	33.38	366
4 0 2	2.647	33.87	488
6 0 0	2.086	43.38	365

Crystal structure
Lattice parameters (Å, degrees): 13.366 6.104 18.072 90.00 110.48 90.00
Space group C2/c (No. 15)
Unique sites:
1 K 0.169 0.021 0.052 [8 per cell]
2 Au 0.000 0.176 0.250 [4 per cell]
3 Au 0.000 0.326 0.750 [4 per cell]
4 C 0.011 0.438 0.412 [8 per cell]
5 C 0.228 0.056 0.365 [8 per cell]
6 S 0.006 0.303 0.882 [8 per cell]
7 S 0.188 0.193 0.281 [8 per cell]
8 N 0.014 0.258 0.436 [8 per cell]
9 N 0.240 0.466 0.073 [8 per cell]

***

Record 6
Theoretical powder X-ray diffraction pattern
Compound: Y3GaC
Radiation: a wavelength of 1.5418 Å
Structure: DFT lattice parameters and positions (GGA-PBE)

Top 9 peaks for 2θ = 15–90°, low angle first:
hkl	d [Å]	two_theta	I (rel.)
1 0 0	4.871	18.21	27
1 1 1	2.812	31.82	1000
2 0 0	2.435	36.91	564
2 1 0	2.178	41.45	9
2 2 0	1.722	53.19	379
3 1 1	1.469	63.33	399
2 2 2	1.406	66.50	125
4 0 0	1.218	78.56	57
3 3 1	1.117	87.25	163

Crystal structure
Lattice parameters (Å, degrees): 4.871 4.871 4.871 90.00 90.00 90.00
Space group Pm-3m (No. 221)
Unique sites:
1 Y 0.000 0.000 0.500 [3 per cell]
2 Ga 0.500 0.500 0.500 [1 per cell]
3 C 0.000 0.000 0.000 [1 per cell]

***

Record 7
Theoretical powder X-ray diffraction pattern
Compound: Ni3C
Radiation: a wavelength of 1.5418 Å
Structure: DFT lattice parameters and positions (GGA-PBE)

Top 10 peaks for 2θ = 15–90°, low angle first:
hkl	d [Å]	two_theta	I (rel.)
1 0 4	2.504	35.87	8
1 1 0	2.291	39.33	198
0 0 6	2.152	41.99	245
1 1 3	2.022	44.82	1000
1 1 6	1.568	58.89	165
3 0 0	1.322	71.31	161
1 1 9	1.216	78.71	167
2 2 0	1.145	84.61	19
3 0 6	1.127	86.35	159
2 2 3	1.107	88.30	123

Crystal structure
Lattice parameters (Å, degrees): 4.5813 4.5813 12.9094 90.00 90.00 120.00
Space group R-3c (No. 167, hexagonal axes)
Unique sites:
1 Ni 0.0000 0.3269 0.2500 [18 per cell]
2 C 0.0000 0.0000 0.0000 [6 per cell]